Ba6Y3Co3Cu6O22: calculated powder XRD pattern (CuKα), based on a DFT-relaxed cell (PBE+U, Alexandria).
Kinematic intensities with the Lorentz-polarization factor, no thermal factor.

Largest 10 diffraction maxima, in order of falling intensity, 15° ≤ 2θ ≤ 90°:
hkl  2θ/deg  intensity
0 1 3  32.4  100
3 0 2  32.2  50
6 1 -5  57.5  35
3 2 2  57.8  18
0 2 0  46.7  16
6 0 -2  46.2  16
6 2 -2  67.8  15
3 1 2  39.9  14
0 0 6  46.1  9
0 0 5  38.1  8

Structure:
```
40
Lattice="11.780 0.000 0.000 0.000 3.892 0.000 -3.924 0.000 11.807" Properties=species:S:1:pos:R:3 pbc="T T T"
Ba 0.001 0.000 2.163
Ba -0.044 0.000 9.676
Ba 3.882 0.000 2.136
Ba 3.974 0.000 9.671
Ba 7.900 0.000 2.131
Ba 7.855 0.000 9.644
Y 0.013 0.000 5.927
Y 3.928 0.000 5.903
Y 7.844 0.000 5.880
Co 2.137 1.946 0.001
Co 5.890 1.946 0.000
Co 5.720 1.946 11.805
Cu -1.970 1.946 7.555
Cu 1.961 1.946 4.252
Cu 1.968 1.946 7.634
Cu 5.888 1.946 4.173
Cu 5.895 1.946 7.555
Cu 9.826 1.946 4.252
O -1.959 0.000 7.331
O -2.079 1.946 10.007
O 0.004 1.946 4.498
O 1.816 0.000 0.002
O -0.011 1.946 7.373
O 1.850 1.946 1.804
O 1.970 0.000 4.474
O 0.143 1.946 11.806
O 1.967 0.000 7.328
O 1.968 1.946 9.945
O 3.915 1.946 4.459
O 3.941 1.946 7.347
O 5.888 1.946 1.862
O 5.889 0.000 4.478
O 7.713 1.946 0.001
O 5.886 0.000 7.333
O 6.006 1.946 10.003
O 7.867 1.946 4.433
O 6.040 0.000 11.805
O 7.853 1.946 7.309
O 9.935 1.946 1.799
O 9.815 0.000 4.476
```